1.
CaCoO2: simulated powder X-ray diffraction pattern (Cu Kα (λ = 1.5418 Å)), based on a GGA+U-relaxed structure.

Principal peaks in the range 2θ from 15° to 90°, low angle first:
2θ (°)  I (rel.)  hkl
24.98  34  0 2 -2
28.81  33  0 2 1
29.94  61  0 1 -3
32.01  31  0 2 -3
32.30  100  0 3 -1
33.10  66  1 0 1
34.77  38  0 3 0
36.80  35  1 2 -1
37.43  33  1 2 -2
59.67  47  2 0 -1

```
data_CaCoO2
_symmetry_space_group_name_H-M 'P 1'
_symmetry_Int_Tables_number 1
_symmetry_space_group_name_Hall 'P 1'
_cell_length_a 3.101
_cell_length_b 8.332
_cell_length_c 9.074
_cell_angle_alpha 111.05
_cell_angle_beta 99.37
_cell_angle_gamma 91.67
loop_
_atom_site_label
_atom_site_type_symbol
_atom_site_fract_x
_atom_site_fract_y
_atom_site_fract_z
_atom_site_occupancy
Ca1 Ca 0.000 0.000 0.000 1
Ca2 Ca 0.061 0.748 0.179 1
Ca3 Ca 0.670 0.221 0.414 1
Ca4 Ca 0.865 0.272 0.795 1
Co1 Co 0.008 0.382 0.120 1
Co2 Co 0.246 0.955 0.615 1
Co3 Co 0.331 0.589 0.718 1
Co4 Co 0.673 0.609 0.442 1
O1 O 0.177 0.753 0.432 1
O2 O 0.188 0.469 0.485 1
O3 O 0.259 0.191 0.593 1
O4 O 0.470 0.235 0.015 1
O5 O 0.545 0.533 0.189 1
O6 O 0.584 0.960 0.178 1
O7 O 0.813 0.979 0.751 1
O8 O 0.892 0.609 0.855 1
```



2.
CaCoO2: simulated powder X-ray diffraction pattern (Cu Kα (λ = 1.5418 Å)), based on a GGA+U-relaxed structure.

Principal peaks in the range 2θ from 15° to 90°, low angle first:
2θ (°)  I (rel.)  hkl
15.68  39  0 1 -1
20.65  27  0 0 2
24.20  52  0 1 -2
31.66  100  0 2 -2
32.40  55  0 1 3
32.78  27  1 1 -1
33.74  54  1 -1 1
34.52  30  0 3 1
40.57  84  1 2 2
43.14  54  -1 2 2

```
data_CaCoO2
_symmetry_space_group_name_H-M 'P -1'
_symmetry_Int_Tables_number 2
_symmetry_space_group_name_Hall '-P 1'
_cell_length_a 3.070
_cell_length_b 8.028
_cell_length_c 8.626
_cell_angle_alpha 85.77
_cell_angle_beta 88.83
_cell_angle_gamma 86.35
loop_
_atom_site_label
_atom_site_type_symbol
_atom_site_fract_x
_atom_site_fract_y
_atom_site_fract_z
_atom_site_occupancy
Ca1 Ca 0.223 0.084 0.325 1
Ca2 Ca 0.269 0.792 0.046 1
Co1 Co 0.192 0.251 0.629 1
Co2 Co 0.339 0.558 0.800 1
O1 O 0.117 0.583 0.246 1
O2 O 0.202 0.305 0.135 1
O3 O 0.255 0.064 0.818 1
O4 O 0.301 0.825 0.495 1
```



3.
Ca2Co3O8: simulated powder X-ray diffraction pattern (Cu Kα (λ = 1.5418 Å)), based on a GGA+U-relaxed structure.

Principal peaks in the range 2θ from 15° to 90°, low angle first:
2θ (°)  I (rel.)  hkl
16.87  100  0 0 2
19.06  24  1 0 1
24.09  45  1 0 2
30.78  43  1 0 3
34.44  63  1 1 2
35.62  59  2 0 1
43.38  32  2 0 3
49.34  24  2 0 4
56.31  52  2 0 5
61.90  36  2 2 0

```
data_Ca2Co3O8
_symmetry_space_group_name_H-M 'P 63 m c'
_symmetry_Int_Tables_number 186
_symmetry_space_group_name_Hall 'P 6c -2c'
_cell_length_a 5.9956
_cell_length_b 5.9956
_cell_length_c 10.5128
_cell_angle_alpha 90.00
_cell_angle_beta 90.00
_cell_angle_gamma 120.00
loop_
_atom_site_label
_atom_site_type_symbol
_atom_site_fract_x
_atom_site_fract_y
_atom_site_fract_z
_atom_site_occupancy
Ca1 Ca 0.3333 0.6667 0.0000 1
Ca2 Ca 0.3333 0.6667 0.4014 1
Co1 Co 0.1639 0.3279 0.7218 1
O1 O 0.0000 0.0000 0.3340 1
O2 O 0.0489 0.5245 0.8177 1
O3 O 0.1514 0.3029 0.1368 1
O4 O 0.3333 0.6667 0.6096 1
```



4.
Ca2CoO3: simulated powder X-ray diffraction pattern (Cu Kα (λ = 1.5418 Å)), based on a GGA+U-relaxed structure.

Principal peaks in the range 2θ from 15° to 90°, low angle first:
2θ (°)  I (rel.)  hkl
30.44  31  1 1 -2
32.62  31  0 0 4
33.23  40  1 1 2
34.99  34  1 1 -3
38.84  100  0 2 0
39.06  36  2 0 0
39.77  34  0 2 1
41.10  45  0 0 5
56.09  27  2 2 -1
57.85  29  0 2 5

```
data_Ca2CoO3
_symmetry_space_group_name_H-M 'C 1 2/m 1'
_symmetry_Int_Tables_number 12
_symmetry_space_group_name_Hall '-C 2y'
_cell_length_a 4.655
_cell_length_b 4.633
_cell_length_c 11.085
_cell_angle_alpha 90.00
_cell_angle_beta 97.85
_cell_angle_gamma 90.00
loop_
_atom_site_label
_atom_site_type_symbol
_atom_site_fract_x
_atom_site_fract_y
_atom_site_fract_z
_atom_site_occupancy
Ca1 Ca 0.063 0.000 0.202 1
Co1 Co 0.000 0.500 0.000 1
O1 O 0.000 0.000 0.000 1
O2 O 0.062 0.500 0.196 1
```



5.
CaCo2O4: simulated powder X-ray diffraction pattern (Cu Kα (λ = 1.5418 Å)), based on a GGA+U-relaxed structure.

Principal peaks in the range 2θ from 15° to 90°, low angle first:
2θ (°)  I (rel.)  hkl
16.05  100  0 2 0
24.31  12  1 1 1
32.42  20  0 4 0
33.55  13  1 3 1
34.96  40  0 0 2
38.68  63  2 2 1
42.95  21  0 3 2
48.42  71  0 4 2
62.03  23  2 6 1
62.70  30  4 0 0

```
data_CaCo2O4
_symmetry_space_group_name_H-M 'P m m n'
_symmetry_Int_Tables_number 59
_cell_length_a 5.927
_cell_length_b 11.047
_cell_length_c 5.133
_cell_angle_alpha 90.00
_cell_angle_beta 90.00
_cell_angle_gamma 90.00
loop_
_symmetry_equiv_pos_as_xyz
'x,y,z'
'-x,-y,-z'
'-x+1/2,-y+1/2,z'
'x+1/2,y+1/2,-z'
'x+1/2,-y,-z'
'-x+1/2,y,z'
'-x,y+1/2,-z'
'x,-y+1/2,z'
loop_
_atom_site_label
_atom_site_type_symbol
_atom_site_fract_x
_atom_site_fract_y
_atom_site_fract_z
_atom_site_occupancy
Ca1 Ca 0.250 0.250 0.030 1
Ca2 Ca 0.250 0.750 0.353 1
Co1 Co 0.000 0.000 0.500 1
Co2 Co 0.250 0.512 0.990 1
O1 O 0.002 0.104 0.836 1
O2 O 0.250 0.089 0.330 1
O3 O 0.250 0.598 0.666 1
```



6.
CaCo2O4: simulated powder X-ray diffraction pattern (Cu Kα (λ = 1.5418 Å)), based on a GGA+U-relaxed structure.

Principal peaks in the range 2θ from 15° to 90°, low angle first:
2θ (°)  I (rel.)  hkl
22.65  70  2 0 1
29.30  55  4 0 0
33.11  100  4 0 -3
36.38  38  3 1 -1
37.28  31  1 1 -2
41.76  52  1 1 2
43.05  34  3 1 1
48.45  32  5 1 -3
48.67  32  5 1 0
68.64  33  9 1 -3

```
data_CaCo2O4
_symmetry_space_group_name_H-M 'C 1 2/m 1'
_symmetry_Int_Tables_number 12
_symmetry_space_group_name_Hall '-C 2y'
_cell_length_a 13.953
_cell_length_b 2.916
_cell_length_c 8.748
_cell_angle_alpha 90.00
_cell_angle_beta 119.09
_cell_angle_gamma 90.00
loop_
_atom_site_label
_atom_site_type_symbol
_atom_site_fract_x
_atom_site_fract_y
_atom_site_fract_z
_atom_site_occupancy
Ca1 Ca 0.114 0.000 0.154 1
Co1 Co 0.077 0.000 0.766 1
Co2 Co 0.165 0.500 0.516 1
O1 O 0.060 0.500 0.909 1
O2 O 0.073 0.000 0.382 1
O3 O 0.122 0.500 0.693 1
O4 O 0.231 0.500 0.363 1
```



7.
CaCo2O4: simulated powder X-ray diffraction pattern (Cu Kα (λ = 1.5418 Å)), based on a GGA+U-relaxed structure.

Principal peaks in the range 2θ from 15° to 90°, low angle first:
2θ (°)  I (rel.)  hkl
17.44  22  0 0 3
17.55  17  0 1 1
28.73  20  0 1 4
33.80  31  1 0 5
33.95  100  2 0 1
41.18  36  2 0 4
54.26  14  2 0 7
54.42  36  2 1 5
59.50  27  0 2 8
59.81  32  2 2 0

```
data_CaCo2O4
_symmetry_space_group_name_H-M 'P 3 m 1'
_symmetry_Int_Tables_number 156
_symmetry_space_group_name_Hall 'P 3 -2"'
_cell_length_a 6.1848
_cell_length_b 6.1848
_cell_length_c 15.2589
_cell_angle_alpha 90.00
_cell_angle_beta 90.00
_cell_angle_gamma 120.00
loop_
_atom_site_label
_atom_site_type_symbol
_atom_site_fract_x
_atom_site_fract_y
_atom_site_fract_z
_atom_site_occupancy
Ca1 Ca 0.0000 0.0000 0.0000 1
Ca2 Ca 0.0000 0.0000 0.2424 1
Ca3 Ca 0.0000 0.0000 0.6154 1
Ca4 Ca 0.3333 0.6667 0.3442 1
Ca5 Ca 0.3333 0.6667 0.9582 1
Ca6 Ca 0.6667 0.3333 0.6639 1
Co1 Co 0.0011 0.5006 0.1282 1
Co2 Co 0.1638 0.3276 0.7868 1
Co3 Co 0.3333 0.6667 0.5735 1
Co4 Co 0.3379 0.1689 0.4490 1
Co5 Co 0.6667 0.3333 0.2876 1
Co6 Co 0.6667 0.3333 0.9038 1
O1 O 0.0000 0.0000 0.3867 1
O2 O 0.0000 0.0000 0.8578 1
O3 O 0.0169 0.5084 0.8566 1
O4 O 0.1654 0.3308 0.5148 1
O5 O 0.1801 0.3601 0.0679 1
O6 O 0.2957 0.1479 0.7215 1
O7 O 0.3333 0.6667 0.1997 1
O8 O 0.3333 0.6667 0.7074 1
O9 O 0.3960 0.1980 0.2043 1
O10 O 0.5324 0.0647 0.3703 1
O11 O 0.6667 0.3333 0.0441 1
O12 O 0.6667 0.3333 0.5175 1
```



8.
CaCoO2: simulated powder X-ray diffraction pattern (Cu Kα (λ = 1.5418 Å)), based on a GGA+U-relaxed structure.

Principal peaks in the range 2θ from 15° to 90°, low angle first:
2θ (°)  I (rel.)  hkl
22.23  25  0 2 0
28.90  25  0 2 -2
32.87  57  1 1 1
33.31  57  0 2 2
33.89  27  0 3 -1
34.64  32  1 0 -2
35.80  28  1 1 -2
36.05  54  0 1 3
40.32  100  1 -2 2
54.73  21  1 4 0

```
data_CaCoO2
_symmetry_space_group_name_H-M 'P 1'
_symmetry_Int_Tables_number 1
_symmetry_space_group_name_Hall 'P 1'
_cell_length_a 3.245
_cell_length_b 8.076
_cell_length_c 8.321
_cell_angle_alpha 97.86
_cell_angle_beta 91.64
_cell_angle_gamma 91.64
loop_
_atom_site_label
_atom_site_type_symbol
_atom_site_fract_x
_atom_site_fract_y
_atom_site_fract_z
_atom_site_occupancy
Ca1 Ca 0.000 0.000 0.000 1
Ca2 Ca 0.013 0.690 0.234 1
Ca3 Ca 0.420 0.207 0.376 1
Ca4 Ca 0.444 0.897 0.610 1
Co1 Co 0.030 0.230 0.718 1
Co2 Co 0.419 0.667 0.891 1
Co3 Co 0.674 0.345 0.024 1
Co4 Co 0.804 0.552 0.582 1
O1 O 0.186 0.489 0.008 1
O2 O 0.287 0.408 0.608 1
O3 O 0.498 0.835 0.093 1
O4 O 0.524 0.669 0.421 1
O5 O 0.533 0.144 0.842 1
O6 O 0.907 0.226 0.190 1
O7 O 0.917 0.753 0.767 1
O8 O 0.943 0.062 0.517 1
```